For HfGa3Ir, a crystal structure in Alexandria, relaxed with PBE gives the theoretical XRD peak list in this record (copper Kα).
Lines closer than 0.1° are merged.

Structural model:
Cell lengths 4.263, 6.315, 6.588 Å; angles 90.00, 90.00, 90.00 degrees
Fractional coordinates of all 10 atoms:
1 Hf 0.250 0.250 0.177
2 Hf 0.750 0.750 0.823
3 Ga 0.250 0.037 0.784
4 Ga 0.250 0.463 0.784
5 Ga 0.250 0.750 0.484
6 Ga 0.750 0.250 0.516
7 Ga 0.750 0.537 0.216
8 Ga 0.750 0.963 0.216
9 Ir 0.250 0.750 0.099
10 Ir 0.750 0.250 0.901

Principal peaks in the range 10 to 80 degrees two-theta, by angle:
- 2θ = 13.44°, I = 67, (0 0 1)
- 2θ = 28.26°, I = 31, (0 2 0)
- 2θ = 34.41°, I = 24, (1 0 2)
- 2θ = 37.32°, I = 47, (1 1 2)
- 2θ = 38.00°, I = 100, (1 2 1)
- 2θ = 41.10°, I = 18, (0 0 3)
- 2θ = 42.41°, I = 39, (2 0 0)
- 2θ = 45.11°, I = 49, (1 2 2)

For Hf6Ga3Ir, a crystal structure in Alexandria, relaxed with PBE gives the theoretical XRD peak list in this record (copper Kα).
Lines closer than 0.1° are merged.

Structural model:
Cell lengths 5.361, 7.728, 11.153 Å; angles 90.00, 117.69, 90.00 degrees
Fractional coordinates of all 20 atoms:
1 Hf 0.014 0.168 0.426
2 Hf 0.014 0.332 0.926
3 Hf 0.337 0.677 0.426
4 Hf 0.337 0.823 0.926
5 Hf 0.395 0.033 0.253
6 Hf 0.395 0.467 0.753
7 Hf 0.605 0.533 0.247
8 Hf 0.605 0.967 0.747
9 Hf 0.663 0.177 0.074
10 Hf 0.663 0.323 0.574
11 Hf 0.986 0.668 0.074
12 Hf 0.986 0.832 0.574
13 Ga 0.000 0.000 0.000
14 Ga 0.000 0.500 0.500
15 Ga 0.150 0.127 0.757
16 Ga 0.150 0.373 0.257
17 Ga 0.850 0.627 0.743
18 Ga 0.850 0.873 0.243
19 Ir 0.500 0.000 0.500
20 Ir 0.500 0.500 0.000

Principal peaks in the range 10 to 80 degrees two-theta, by angle:
- 2θ = 29.81°, I = 31, (1 2 0)
- 2θ = 33.74°, I = 65, (1 1 2)
- 2θ = 34.25°, I = 46, (1 1 -4)
- 2θ = 35.45°, I = 28, (2 1 -2)
- 2θ = 35.84°, I = 33, (0 2 3)
- 2θ = 36.46°, I = 60, (2 1 -1)
- 2θ = 38.79°, I = 100, (1 3 -1)
- 2θ = 43.50°, I = 28, (0 2 4)

For LaHf3Ga, a crystal structure in Alexandria, relaxed with PBE gives the theoretical XRD peak list in this record (copper Kα).
Lines closer than 0.1° are merged.

Structural model:
Cell lengths 5.124, 5.124, 5.124 Å; angles 90.00, 90.00, 90.00 degrees
Fractional coordinates of all 5 atoms:
1 La 0.000 0.000 0.000
2 Hf 0.000 0.500 0.500
3 Hf 0.500 0.000 0.500
4 Hf 0.500 0.500 0.000
5 Ga 0.500 0.500 0.500

Principal peaks in the range 10 to 80 degrees two-theta, by angle:
- 2θ = 17.31°, I = 10, (1 0 0)
- 2θ = 30.21°, I = 100, (1 1 1)
- 2θ = 35.03°, I = 79, (2 0 0)
- 2θ = 39.32°, I = 5, (2 1 0)
- 2θ = 50.38°, I = 57, (2 2 0)
- 2θ = 59.87°, I = 44, (3 1 1)
- 2θ = 62.83°, I = 20, (2 2 2)
- 2θ = 74.01°, I = 9, (4 0 0)

Question: Number 3 is which compound?
Answer: LaHf3Ga

Question: Which formula does entry 1 have?
Answer: HfGa3Ir